(1)
This entry pairs a crystal structure of NaCa2YF with its simulated powder X-ray diffraction pattern. Radiation: Cu Kα X-rays. Structure: a DFT-relaxed cell (GGA-PBE, Alexandria).
Neutral-atom scattering factors, no anomalous dispersion.

Structure:
```
NaCa2YF
1.0
4.9732 0.0000 0.0000
0.0000 4.9732 0.0000
0.0000 0.0000 5.8459
Na Ca Y F
1 2 1 1
Cartesian
0.0000 0.0000 0.0000
0.0000 2.4866 2.9229
2.4866 0.0000 2.9229
2.4866 2.4866 0.0000
2.4866 2.4866 2.9229
```

The 10 most intense peaks (10 to 90 degrees two-theta), in order of rising 2θ:
| 2theta | I/Imax |
| --- | --- |
| 17.84 | 41.4 |
| 29.65 | 100.0 |
| 30.59 | 34.5 |
| 35.63 | 13.7 |
| 36.12 | 43.0 |
| 48.04 | 36.0 |
| 52.01 | 13.9 |
| 53.78 | 17.4 |
| 61.01 | 23.4 |
| 61.55 | 16.0 |



(2)
This entry pairs a crystal structure of Na2CaZrF8 with its simulated powder X-ray diffraction pattern. Radiation: Cu Kα X-rays. Structure: a DFT-relaxed cell (GGA-PBE, Alexandria).
Neutral-atom scattering factors, no anomalous dispersion.

Structure:
```
Na2CaZrF8
1.0
3.7691 0.0000 0.0000
0.0000 5.5681 0.0000
0.0000 0.0000 7.6963
Na Ca Zr F
2 1 1 8
Cartesian
0.0000 0.0000 1.7940
0.0000 0.0000 5.9024
1.8846 2.7841 0.0000
1.8846 2.7841 3.8482
0.0000 1.4420 0.0000
0.0000 1.6051 3.8482
0.0000 3.9630 3.8482
0.0000 4.1261 0.0000
1.8846 1.5161 2.1732
1.8846 1.5161 5.5231
1.8846 4.0520 2.1732
1.8846 4.0520 5.5231
```

The 10 most intense peaks (10 to 90 degrees two-theta), in order of rising 2θ:
| 2theta | I/Imax |
| --- | --- |
| 11.50 | 31.5 |
| 15.92 | 53.3 |
| 19.68 | 21.9 |
| 28.19 | 72.7 |
| 28.60 | 69.1 |
| 46.94 | 100.0 |
| 47.24 | 22.5 |
| 48.28 | 30.5 |
| 56.16 | 17.3 |
| 56.86 | 18.2 |



(3)
This entry pairs a crystal structure of Ca2NbF8 with its simulated powder X-ray diffraction pattern. Radiation: Cu Kα X-rays. Structure: a DFT-relaxed cell (GGA-PBE, Alexandria).
Neutral-atom scattering factors, no anomalous dispersion.

Structure:
```
Ca2NbF8
1.0
6.9141 0.0000 0.0000
-3.4570 5.9878 0.0000
0.0000 0.0000 4.4249
Ca Nb F
2 1 8
Cartesian
0.0000 3.9918 1.0882
3.4570 1.9959 3.3367
0.0000 0.0000 2.2124
0.0000 1.7328 1.1852
-1.9563 5.1213 1.1852
1.5007 0.8664 3.2396
0.0000 3.9918 3.3088
3.4570 1.9959 1.1161
1.9564 5.1213 1.1852
5.4134 0.8664 3.2396
3.4570 4.2549 3.2396
```

The 10 most intense peaks (10 to 90 degrees two-theta), in order of rising 2θ:
| 2theta | I/Imax |
| --- | --- |
| 14.79 | 54.6 |
| 20.07 | 20.4 |
| 25.02 | 86.5 |
| 25.77 | 100.0 |
| 32.88 | 24.0 |
| 36.23 | 25.4 |
| 44.99 | 40.0 |
| 51.35 | 33.4 |
| 52.97 | 31.9 |
| 58.33 | 30.4 |



(4)
This entry pairs a crystal structure of Ca3Nb4O12F2 with its simulated powder X-ray diffraction pattern. Radiation: Cu Kα X-rays. Structure: a DFT-relaxed cell (GGA-PBE, Alexandria).
Neutral-atom scattering factors, no anomalous dispersion.

Structure:
```
Ca3Nb4O12F2
1.0
3.7660 2.1743 6.0253
-3.7660 2.1743 6.0253
0.0000 -4.3486 6.0253
Ca Nb O F
3 4 12 2
Cartesian
-1.8830 -1.0871 6.0253
-1.8830 1.0871 12.0506
0.0000 2.1743 6.0253
0.0000 0.0000 0.0000
-3.7660 0.0000 9.0380
-1.8830 1.0871 3.0126
1.8830 1.0871 3.0127
-2.3713 -1.3691 8.5936
0.0000 -2.6465 4.9717
-2.2920 1.3233 4.9717
0.0000 -2.7382 9.4823
-2.3713 1.3691 9.4823
-2.2920 -1.3233 13.1042
2.2920 1.3233 4.9717
2.3713 -1.3691 8.5936
0.0000 2.7382 8.5936
2.2920 -1.3233 13.1042
0.0000 2.6465 13.1042
2.3713 1.3691 9.4823
0.0000 0.0000 6.5228
0.0000 0.0000 11.5531
```

The 10 most intense peaks (10 to 90 degrees two-theta), in order of rising 2θ:
| 2theta | I/Imax |
| --- | --- |
| 14.44 | 67.3 |
| 27.94 | 30.8 |
| 28.22 | 13.9 |
| 29.11 | 100.0 |
| 29.65 | 35.6 |
| 33.90 | 28.1 |
| 48.34 | 35.0 |
| 49.05 | 34.3 |
| 57.42 | 14.4 |
| 57.74 | 28.6 |



(5)
This entry pairs a crystal structure of Ca7NbSi4O17F with its simulated powder X-ray diffraction pattern. Radiation: Cu Kα X-rays. Structure: a DFT-relaxed cell (GGA-PBE, Alexandria).
Neutral-atom scattering factors, no anomalous dispersion.

Structure:
```
Ca7NbSi4O17F
1.0
7.4479 0.0000 0.0000
0.0000 10.5463 0.0000
-3.6855 0.0000 10.3518
Ca Nb Si O F
14 2 8 34 2
Cartesian
0.0000 1.2512 0.0000
-1.8427 9.2951 5.1759
-0.1155 1.7564 6.3573
1.7272 8.7899 1.1814
1.6996 3.6533 2.6222
-0.1431 6.8930 7.7981
3.5475 1.3389 0.2190
1.7048 9.2075 5.3949
1.8588 3.8667 8.8108
3.7015 6.6796 3.6349
3.6261 1.5683 6.4824
5.4688 8.9780 1.3065
5.4714 3.5817 2.7171
3.6286 6.9646 7.8930
-1.9223 3.8107 9.0727
-0.0795 6.7356 3.8968
-0.3308 0.6401 3.1107
-2.1736 9.9062 8.2866
2.0029 4.6765 5.8984
3.8456 5.8698 0.7226
3.8250 0.6007 3.2019
1.9822 9.9457 8.3778
5.1800 4.5439 5.7418
7.0228 6.0024 0.5659
-1.8799 5.1637 7.2181
-0.0372 5.3826 2.0422
-1.7391 0.2108 6.9608
0.1036 10.3356 1.7849
-0.1031 2.2333 2.8782
-1.9458 8.3130 8.0541
0.1475 0.0869 4.5637
-1.6952 10.4595 9.7396
1.7152 2.9377 0.4053
-0.1276 7.6086 5.5812
-0.3570 2.8621 8.5278
1.4858 7.6842 3.3519
1.1930 5.1210 4.5473
-0.6497 5.4254 9.7232
1.5093 0.3246 7.1255
3.3521 10.2217 1.9497
1.8279 3.1133 6.2975
3.6706 7.4330 1.1216
3.5830 4.9726 2.0705
1.7402 5.5737 7.2464
3.5642 2.1702 2.8460
1.7215 8.3762 8.0219
3.4238 0.0700 4.6908
1.5810 10.4764 9.8667
3.5814 4.9821 5.4427
5.4241 5.5642 0.2668
5.4773 0.2959 3.1864
3.6345 10.2504 8.3623
4.0119 2.7873 8.4593
5.8546 7.7590 3.2834
5.3757 2.9443 5.6012
7.2184 7.6021 0.4253
3.9960 5.2547 9.6051
5.8387 5.2917 4.4292
5.5498 2.6448 0.4412
3.7070 7.9016 5.6171
```

The 10 most intense peaks (10 to 90 degrees two-theta), in order of rising 2θ:
| 2theta | I/Imax |
| --- | --- |
| 11.98 | 18.0 |
| 27.19 | 31.9 |
| 29.36 | 100.0 |
| 30.63 | 17.1 |
| 30.74 | 37.9 |
| 30.97 | 47.5 |
| 48.92 | 23.8 |
| 50.02 | 14.0 |
| 52.90 | 14.5 |
| 52.98 | 16.1 |